(1)
For PSe5Br2, DFT lattice parameters and positions (PBE) gives the computed powder diffractogram in this record (λ = 1.5418 Å (Cu Kα)).

Unit cell a=5.6864 b=5.6864 c=15.3515 alpha=90.00 beta=90.00 gamma=90.00
Space group I4mm (No. 107)
Symmetry-distinct sites (fractional):
P: 0.0000 0.0000 0.0000 [2 per cell]
Se: 0.0000 0.0000 0.8532 [2 per cell]
Se: 0.2285 0.2285 0.5773 [8 per cell]
Br: 0.0000 0.5000 0.3434 [4 per cell]

Most intense lines, 10° ≤ 2θ ≤ 80°, in order of rising 2θ:
- 2θ = 11.53°, I = 20.7, (0 0 2)
- 2θ = 16.63°, I = 18.2, (1 0 1)
- 2θ = 23.18°, I = 64.8, (0 0 4)
- 2θ = 33.61°, I = 100.0, (2 0 2)
- 2θ = 45.10°, I = 24.7, (2 2 0)
- 2θ = 47.83°, I = 37.5, (2 0 6)
- 2θ = 51.30°, I = 26.6, (2 2 4)
- 2θ = 67.47°, I = 9.6, (2 2 8)
- 2θ = 70.67°, I = 9.8, (4 0 4)
- 2θ = 75.84°, I = 15.5, (4 2 2)



(2)
For SiPBr, DFT lattice parameters and positions (PBE) gives the computed powder diffractogram in this record (λ = 1.5418 Å (Cu Kα)).

Unit cell a=6.3789 b=8.9216 c=5.9794 alpha=90.00 beta=90.00 gamma=90.00
Space group Pca2_1 (No. 29)
Symmetry-distinct sites (fractional):
Si: 0.0917 0.0990 0.0000 [4 per cell]
P: 0.0714 0.1110 0.6188 [4 per cell]
Br: 0.0329 0.6756 0.6044 [4 per cell]

Most intense lines, 10° ≤ 2θ ≤ 80°, in order of rising 2θ:
- 2θ = 22.69°, I = 100.0, (1 1 1)
- 2θ = 24.35°, I = 17.7, (1 2 0)
- 2θ = 27.98°, I = 39.0, (2 0 0)
- 2θ = 28.62°, I = 74.3, (1 2 1)
- 2θ = 29.89°, I = 43.0, (0 0 2)
- 2θ = 41.39°, I = 21.7, (2 0 2)
- 2θ = 45.68°, I = 21.8, (1 4 1)
- 2θ = 47.36°, I = 13.5, (3 2 0)
- 2θ = 49.90°, I = 13.9, (3 2 1)
- 2θ = 52.28°, I = 25.1, (1 2 3)



(3)
For Sr4PBr6, DFT lattice parameters and positions (PBE) gives the computed powder diffractogram in this record (λ = 1.5418 Å (Cu Kα)).

Unit cell a=10.4200 b=10.4200 c=7.3217 alpha=90.00 beta=90.00 gamma=90.00
Space group P4_2/nmc (No. 137, origin choice 2)
Symmetry-distinct sites (fractional):
Sr: 0.0079 0.2500 0.0703 [8 per cell]
P: 0.2500 0.7500 0.7500 [2 per cell]
Br: 0.0418 0.5418 0.2500 [8 per cell]
Br: 0.2500 0.2500 0.3256 [4 per cell]

Most intense lines, 10° ≤ 2θ ≤ 80°, in order of rising 2θ:
- 2θ = 12.01°, I = 28.0, (1 1 0)
- 2θ = 20.93°, I = 100.0, (2 0 1)
- 2θ = 28.44°, I = 57.2, (3 0 1)
- 2θ = 31.07°, I = 50.6, (2 1 2)
- 2θ = 33.33°, I = 33.4, (3 2 1)
- 2θ = 34.43°, I = 69.6, (4 0 0)
- 2θ = 34.54°, I = 97.4, (2 2 2)
- 2θ = 39.74°, I = 31.1, (3 2 2)
- 2θ = 40.63°, I = 34.8, (4 2 1)
- 2θ = 61.12°, I = 27.3, (5 2 3)



(4)
For SrPBr, DFT lattice parameters and positions (PBE) gives the computed powder diffractogram in this record (λ = 1.5418 Å (Cu Kα)).

Unit cell a=4.3032 b=6.1071 c=8.7855 alpha=109.15 beta=92.01 gamma=90.16
Space group P-1 (No. 2)
Symmetry-distinct sites (fractional):
Sr: 0.2380 0.1602 0.3076 [2 per cell]
P: 0.2811 0.9210 0.9554 [2 per cell]
Br: 0.2441 0.7099 0.4128 [2 per cell]

Most intense lines, 10° ≤ 2θ ≤ 80°, in order of rising 2θ:
- 2θ = 10.67°, I = 80.3, (0 0 1)
- 2θ = 15.36°, I = 24.2, (0 1 0)
- 2θ = 15.57°, I = 28.4, (0 1 -1)
- 2θ = 22.93°, I = 33.1, (1 0 -1)
- 2θ = 23.67°, I = 44.8, (1 0 1)
- 2θ = 29.29°, I = 100.0, (0 2 -1)
- 2θ = 30.51°, I = 27.9, (1 0 2)
- 2θ = 37.68°, I = 27.3, (1 2 -2)
- 2θ = 38.10°, I = 27.2, (1 -2 2)
- 2θ = 42.02°, I = 23.0, (2 0 0)



(5)
For Sr4P2Br5, DFT lattice parameters and positions (PBE) gives the computed powder diffractogram in this record (λ = 1.5418 Å (Cu Kα)).

Unit cell a=23.4965 b=4.3038 c=8.6738 alpha=90.00 beta=92.27 gamma=90.00
Space group C2/m (No. 12)
Symmetry-distinct sites (fractional):
Sr: 0.0145 0.0000 0.2327 [4 per cell]
Sr: 0.1706 0.5000 0.0846 [4 per cell]
P: 0.0445 0.5000 0.9754 [4 per cell]
Br: 0.0000 0.5000 0.5000 [2 per cell]
Br: 0.1427 0.0000 0.3191 [4 per cell]
Br: 0.1989 0.0000 0.8483 [4 per cell]

Most intense lines, 10° ≤ 2θ ≤ 80°, in order of rising 2θ:
- 2θ = 10.21°, I = 30.4, (0 0 1)
- 2θ = 12.93°, I = 54.2, (2 0 1)
- 2θ = 22.72°, I = 46.0, (6 0 0)
- 2θ = 25.58°, I = 34.5, (3 1 -1)
- 2θ = 29.39°, I = 100.0, (1 1 -2)
- 2θ = 32.60°, I = 28.0, (8 0 1)
- 2θ = 35.51°, I = 34.7, (5 1 2)
- 2θ = 39.34°, I = 17.2, (7 1 -2)
- 2θ = 41.45°, I = 34.0, (9 1 -1)
- 2θ = 41.99°, I = 19.3, (0 2 0)



(6)
For Ta4PBr, DFT lattice parameters and positions (PBE) gives the computed powder diffractogram in this record (λ = 1.5418 Å (Cu Kα)).

Unit cell a=7.8237 b=7.8237 c=7.8237 alpha=90.00 beta=90.00 gamma=90.00
Space group F-43m (No. 216)
Symmetry-distinct sites (fractional):
Ta: 0.1247 0.1247 0.1247 [16 per cell]
P: 0.0000 0.0000 0.5000 [4 per cell]
Br: 0.2500 0.2500 0.7500 [4 per cell]

Most intense lines, 10° ≤ 2θ ≤ 80°, in order of rising 2θ:
- 2θ = 19.65°, I = 70.5, (1 1 1)
- 2θ = 32.37°, I = 5.2, (2 2 0)
- 2θ = 38.15°, I = 100.0, (3 1 1)
- 2θ = 39.92°, I = 78.7, (2 2 2)
- 2θ = 46.43°, I = 27.5, (4 0 0)
- 2θ = 50.87°, I = 18.3, (3 3 1)
- 2θ = 57.73°, I = 1.9, (4 2 2)
- 2θ = 61.60°, I = 32.9, (3 3 3)
- 2θ = 67.75°, I = 33.3, (4 4 0)
- 2θ = 71.32°, I = 13.6, (5 3 1)



(7)
For Tb3PBr7, DFT lattice parameters and positions (PBE) gives the computed powder diffractogram in this record (λ = 1.5418 Å (Cu Kα)).

Unit cell a=8.4400 b=8.4400 c=6.8266 alpha=90.00 beta=90.00 gamma=120.00
Space group P3m1 (No. 156)
Symmetry-distinct sites (fractional):
Tb: 0.0079 0.5039 0.0000 [3 per cell]
P: 0.3333 0.6667 0.1974 [1 per cell]
Br: 0.1765 0.3530 0.7611 [3 per cell]
Br: 0.3493 0.1746 0.2173 [3 per cell]
Br: 0.6667 0.3333 0.7551 [1 per cell]

Most intense lines, 10° ≤ 2θ ≤ 80°, in order of rising 2θ:
- 2θ = 12.11°, I = 20.8, (1 0 0)
- 2θ = 12.97°, I = 66.7, (0 0 1)
- 2θ = 17.78°, I = 18.8, (0 1 1)
- 2θ = 27.69°, I = 100.0, (2 0 1)
- 2θ = 36.00°, I = 65.4, (2 0 2)
- 2θ = 42.86°, I = 37.3, (2 2 0)
- 2θ = 44.97°, I = 17.8, (2 2 1)
- 2θ = 47.04°, I = 28.9, (0 2 3)
- 2θ = 51.79°, I = 16.6, (0 4 1)
- 2θ = 74.06°, I = 18.2, (4 2 2)



(8)
For Tc2PBr, DFT lattice parameters and positions (PBE) gives the computed powder diffractogram in this record (λ = 1.5418 Å (Cu Kα)).

Unit cell a=3.0348 b=3.0348 c=6.6234 alpha=90.00 beta=90.00 gamma=90.00
Space group P4/mmm (No. 123)
Symmetry-distinct sites (fractional):
Tc: 0.0000 0.0000 0.1983 [2 per cell]
P: 0.5000 0.5000 0.0000 [1 per cell]
Br: 0.5000 0.5000 0.5000 [1 per cell]

Most intense lines, 10° ≤ 2θ ≤ 80°, in order of rising 2θ:
- 2θ = 29.43°, I = 12.4, (1 0 0)
- 2θ = 32.45°, I = 32.9, (1 0 1)
- 2θ = 40.31°, I = 100.0, (1 0 2)
- 2θ = 40.87°, I = 15.4, (0 0 3)
- 2θ = 42.11°, I = 58.3, (1 1 0)
- 2θ = 60.13°, I = 19.4, (1 1 3)
- 2θ = 61.07°, I = 18.8, (2 0 0)
- 2θ = 75.74°, I = 30.0, (2 1 2)
- 2θ = 76.12°, I = 9.5, (2 0 3)
- 2θ = 78.84°, I = 11.6, (1 0 5)



(9)
For Te3PBr, DFT lattice parameters and positions (PBE) gives the computed powder diffractogram in this record (λ = 1.5418 Å (Cu Kα)).

Unit cell a=7.5893 b=4.6906 c=9.0854 alpha=90.00 beta=90.05 gamma=90.00
Space group P2_1 (No. 4)
Symmetry-distinct sites (fractional):
Te: 0.1592 0.9998 0.0356 [2 per cell]
Te: 0.1593 0.0000 0.4646 [2 per cell]
Te: 0.3342 0.3682 0.2502 [2 per cell]
P: 0.0536 0.6933 0.2501 [2 per cell]
Br: 0.3362 0.4072 0.7502 [2 per cell]

Most intense lines, 10° ≤ 2θ ≤ 80°, in order of rising 2θ:
- 2θ = 15.21°, I = 18.9, (1 0 -1)
- 2θ = 22.28°, I = 15.2, (1 1 0)
- 2θ = 22.81°, I = 32.3, (1 0 2)
- 2θ = 29.80°, I = 100.0, (1 1 2)
- 2θ = 30.30°, I = 59.0, (2 1 0)
- 2θ = 39.68°, I = 15.1, (0 0 4)
- 2θ = 40.83°, I = 35.7, (3 0 2)
- 2θ = 50.71°, I = 23.5, (2 1 4)
- 2θ = 57.28°, I = 14.1, (3 2 2)
- 2θ = 68.08°, I = 13.1, (5 1 -2)



(10)
For TiPBr, DFT lattice parameters and positions (PBE) gives the computed powder diffractogram in this record (λ = 1.5418 Å (Cu Kα)).

Unit cell a=3.6466 b=18.6749 c=5.3798 alpha=90.00 beta=90.00 gamma=90.00
Space group Cmcm (No. 63)
Symmetry-distinct sites (fractional):
Ti: 0.0000 0.0484 0.2500 [4 per cell]
P: 0.0000 0.5000 0.0000 [4 per cell]
Br: 0.0000 0.1741 0.2500 [4 per cell]

Most intense lines, 10° ≤ 2θ ≤ 80°, in order of rising 2θ:
- 2θ = 19.04°, I = 100.0, (0 2 1)
- 2θ = 24.88°, I = 15.0, (1 1 0)
- 2θ = 28.36°, I = 27.8, (1 3 0)
- 2θ = 28.68°, I = 18.7, (0 6 0)
- 2θ = 29.99°, I = 52.5, (1 1 1)
- 2θ = 33.28°, I = 25.0, (0 0 2)
- 2θ = 42.02°, I = 35.9, (1 1 2)
- 2θ = 45.37°, I = 30.7, (1 7 1)
- 2θ = 50.61°, I = 16.5, (1 9 0)
- 2θ = 51.87°, I = 22.2, (0 8 2)



(11)
For Tl2PBr, DFT lattice parameters and positions (PBE) gives the computed powder diffractogram in this record (λ = 1.5418 Å (Cu Kα)).

Unit cell a=3.8186 b=3.8997 c=16.0863 alpha=90.00 beta=90.00 gamma=90.00
Space group Imm2 (No. 44)
Symmetry-distinct sites (fractional):
Tl: 0.0000 0.0000 0.0000 [2 per cell]
Tl: 0.0000 0.5000 0.2840 [2 per cell]
P: 0.0000 0.0000 0.4577 [2 per cell]
Br: 0.0000 0.5000 0.6776 [2 per cell]

Most intense lines, 10° ≤ 2θ ≤ 80°, in order of rising 2θ:
- 2θ = 22.10°, I = 39.8, (0 0 4)
- 2θ = 23.47°, I = 46.9, (0 1 1)
- 2θ = 28.70°, I = 61.4, (1 0 3)
- 2θ = 34.72°, I = 100.0, (1 1 2)
- 2θ = 36.20°, I = 42.4, (0 1 5)
- 2θ = 46.10°, I = 18.3, (1 0 7)
- 2θ = 47.59°, I = 22.9, (2 0 0)
- 2θ = 55.63°, I = 19.9, (1 2 3)
- 2θ = 56.88°, I = 18.0, (1 1 8)
- 2θ = 61.25°, I = 18.8, (2 1 5)



(12)
For TmPBr, DFT lattice parameters and positions (PBE) gives the computed powder diffractogram in this record (λ = 1.5418 Å (Cu Kα)).

Unit cell a=3.9019 b=3.9019 c=12.3659 alpha=90.00 beta=90.00 gamma=120.00
Space group P-3m1 (No. 164)
Symmetry-distinct sites (fractional):
Tm: 0.3333 0.6667 0.3248 [2 per cell]
P: 0.3333 0.6667 0.5444 [2 per cell]
Br: 0.0000 0.0000 0.1765 [2 per cell]

Most intense lines, 10° ≤ 2θ ≤ 80°, in order of rising 2θ:
- 2θ = 14.33°, I = 47.7, (0 0 2)
- 2θ = 27.36°, I = 100.0, (0 1 1)
- 2θ = 30.14°, I = 36.6, (0 1 2)
- 2θ = 34.32°, I = 61.1, (0 1 3)
- 2θ = 39.51°, I = 43.1, (1 0 4)
- 2θ = 45.45°, I = 34.5, (1 0 5)
- 2θ = 46.55°, I = 39.9, (1 1 0)
- 2θ = 59.06°, I = 20.2, (2 0 3)
- 2θ = 65.93°, I = 19.6, (1 1 6)
- 2θ = 78.37°, I = 14.5, (1 2 3)



(13)
For YPBr2, DFT lattice parameters and positions (PBE) gives the computed powder diffractogram in this record (λ = 1.5418 Å (Cu Kα)).

Unit cell a=9.2574 b=3.9871 c=7.5037 alpha=90.00 beta=96.98 gamma=90.00
Space group Cm (No. 8)
Symmetry-distinct sites (fractional):
Y: 0.0000 0.0000 0.0000 [2 per cell]
P: 0.2963 0.0000 0.9378 [2 per cell]
Br: 0.1268 0.5000 0.2566 [2 per cell]
Br: 0.4277 0.0000 0.6882 [2 per cell]

Most intense lines, 10° ≤ 2θ ≤ 80°, in order of rising 2θ:
- 2θ = 11.88°, I = 60.4, (0 0 1)
- 2θ = 19.32°, I = 32.2, (2 0 0)
- 2θ = 21.46°, I = 79.8, (2 0 -1)
- 2θ = 27.69°, I = 100.0, (1 1 1)
- 2θ = 33.50°, I = 63.2, (1 1 -2)
- 2θ = 35.21°, I = 37.6, (1 1 2)
- 2θ = 37.01°, I = 23.5, (3 1 0)
- 2θ = 40.14°, I = 43.3, (3 1 1)
- 2θ = 45.50°, I = 21.1, (0 2 0)
- 2θ = 49.92°, I = 28.8, (3 1 -3)



(14)
For Y2PBr2, DFT lattice parameters and positions (PBE) gives the computed powder diffractogram in this record (λ = 1.5418 Å (Cu Kα)).

Unit cell a=4.0137 b=4.0137 c=31.7516 alpha=90.00 beta=90.00 gamma=120.00
Space group R-3m (No. 166, hexagonal axes)
Symmetry-distinct sites (fractional):
Y: 0.0000 0.0000 0.1188 [6 per cell]
P: 0.0000 0.0000 0.5000 [3 per cell]
Br: 0.0000 0.0000 0.2721 [6 per cell]

Most intense lines, 10° ≤ 2θ ≤ 80°, in order of rising 2θ:
- 2θ = 16.75°, I = 22.8, (0 0 6)
- 2θ = 26.25°, I = 20.3, (0 1 2)
- 2θ = 29.29°, I = 100.0, (0 1 5)
- 2θ = 32.45°, I = 34.5, (1 0 7)
- 2θ = 34.29°, I = 60.4, (0 1 8)
- 2θ = 45.18°, I = 50.4, (1 1 0)
- 2θ = 45.38°, I = 46.7, (1 0 13)
- 2θ = 54.76°, I = 16.2, (2 0 5)
- 2θ = 65.97°, I = 14.9, (0 2 13)
- 2θ = 71.16°, I = 13.9, (1 1 18)